Calculated X-ray powder pattern of Li5Co3O8 for Cu Ka, from a cell relaxed with PBE+U.

Top 10 peaks for 10 to 90 degrees two-theta, by intensity:
d/Å	I (rel.)
4.801	100
2.113	61
2.526	32
1.971	23
7.689	18
1.494	16
1.451	15
1.432	13
6.126	13
2.854	12

Atomic structure:
Lattice parameters (Å, degrees): 6.306 6.306 9.806 127.08 127.08 27.43
Atoms (fractional coordinates):
Li 0.000 0.000 0.000
Li 0.245 0.245 0.373
Li 0.254 0.254 0.878
Li 0.746 0.746 0.122
Li 0.755 0.755 0.627
Co 0.000 0.000 0.500
Co 0.497 0.497 0.238
Co 0.503 0.503 0.762
O 0.114 0.114 0.431
O 0.115 0.115 0.921
O 0.385 0.385 0.803
O 0.387 0.387 0.315
O 0.613 0.613 0.685
O 0.615 0.615 0.197
O 0.885 0.885 0.079
O 0.886 0.886 0.569